The following is a simulated XRD peak list of Li4SbPdO6. It was derived from a DFT-relaxed cell (GGA-PBE, OQMD), using Cu Kα.
No peak broadening, texture or thermal motion is included.

Cell: 5.170 9.121 5.087 Å, 90.00 108.72 90.00°
Space group C2 (No. 5)
One atom of each set of equivalent atoms:
1 Li 0.000 0.000 0.000 x2
2 Li 0.000 0.154 0.500 x2
3 Li 0.000 0.508 0.500 x2
4 Li 0.000 0.836 0.500 x2
5 Sb 0.000 0.337 0.000 x2
6 Pd 0.000 0.669 0.000 x2
7 O 0.230 0.332 0.753 x4
8 O 0.241 0.489 0.244 x4
9 O 0.245 0.176 0.231 x4

The 10 most intense peaks (2θ from 10° to 80°), in order of rising 2θ:
Position (°2θ)  I_rel  h k l
18.42  100  0 0 1
19.46  22  0 2 0
20.59  40  1 1 0
23.47  29  1 1 -1
26.92  19  0 2 1
34.73  39  1 3 0
35.40  17  2 0 -1
42.42  58  1 3 1
43.43  25  2 0 -2
62.75  17  1 3 -3

The following is a simulated XRD peak list of Li4SnPdO6. It was derived from a DFT-relaxed cell (GGA-PBE, OQMD), using Cu Kα.
No peak broadening, texture or thermal motion is included.

Cell: 5.209 9.044 5.142 Å, 90.00 109.46 90.00°
Space group C2 (No. 5)
One atom of each set of equivalent atoms:
1 Li 0.000 0.000 0.000 x2
2 Li 0.000 0.155 0.500 x2
3 Li 0.000 0.520 0.500 x2
4 Li 0.000 0.833 0.500 x2
5 Sn 0.000 0.335 0.000 x2
6 Pd 0.000 0.667 0.000 x2
7 O 0.233 0.504 0.242 x4
8 O 0.244 0.672 0.763 x4
9 O 0.246 0.825 0.239 x4

The 10 most intense peaks (2θ from 10° to 80°), in order of rising 2θ:
Position (°2θ)  I_rel  h k l
18.30  100  0 0 1
19.63  21  0 2 0
20.58  39  1 1 0
23.24  29  1 1 -1
26.96  19  0 2 1
34.92  37  1 3 0
35.03  19  2 0 -1
36.61  24  2 0 0
42.60  53  1 3 1
42.80  26  2 0 -2

The following is a simulated XRD peak list of Li4TePdO6. It was derived from a DFT-relaxed cell (GGA-PBE, OQMD), using Cu Kα.
No peak broadening, texture or thermal motion is included.

Cell: 5.632 8.782 5.355 Å, 90.00 116.66 90.00°
Space group C2 (No. 5)
One atom of each set of equivalent atoms:
1 Li 0.000 0.000 0.000 x2
2 Li 0.000 0.168 0.500 x2
3 Li 0.000 0.515 0.500 x2
4 Li 0.000 0.829 0.500 x2
5 Te 0.000 0.325 0.000 x2
6 Pd 0.000 0.667 0.000 x2
7 O 0.206 0.178 0.275 x4
8 O 0.226 0.337 0.799 x4
9 O 0.226 0.490 0.242 x4

The 10 most intense peaks (2θ from 10° to 80°), in order of rising 2θ:
Position (°2θ)  I_rel  h k l
18.54  100  0 0 1
20.22  25  0 2 0
20.33  39  1 1 0
21.56  33  1 1 -1
27.57  22  0 2 1
31.90  27  2 0 -1
35.47  34  1 3 0
36.22  18  1 3 -1
38.57  31  2 0 -2
44.09  47  1 3 1

The following is a simulated XRD peak list of Li2TePdO6. It was derived from a DFT-relaxed cell (GGA-PBE, OQMD), using Cu Kα.
No peak broadening, texture or thermal motion is included.

Cell: 4.814 5.174 8.391 Å, 90.00 90.00 90.00°
Space group Pnn2 (No. 34)
One atom of each set of equivalent atoms:
1 Li 0.000 0.000 0.000 x2
2 Li 0.000 0.500 0.404 x2
3 Te 0.000 0.000 0.611 x2
4 Pd 0.000 0.500 0.796 x2
5 O 0.209 0.166 0.785 x4
6 O 0.214 0.679 0.622 x4
7 O 0.246 0.171 0.459 x4

The 10 most intense peaks (2θ from 10° to 80°), in order of rising 2θ:
Position (°2θ)  I_rel  h k l
20.16  38  0 1 1
21.28  100  1 0 1
33.20  68  1 1 2
34.68  12  0 2 0
36.52  21  0 1 3
41.04  31  1 2 1
51.89  17  2 2 0
53.24  29  2 1 3
61.22  13  1 3 2
64.76  12  3 1 2

The following is a simulated XRD peak list of Li4ZrPdO6. It was derived from a DFT-relaxed cell (GGA-PBE, OQMD), using Cu Kα.
No peak broadening, texture or thermal motion is included.

Cell: 5.185 8.999 5.199 Å, 90.00 109.05 90.00°
Space group C2 (No. 5)
One atom of each set of equivalent atoms:
1 Li 0.000 0.000 0.000 x2
2 Li 0.000 0.152 0.500 x2
3 Li 0.000 0.521 0.500 x2
4 Li 0.000 0.833 0.500 x2
5 Zr 0.000 0.335 0.000 x2
6 Pd 0.000 0.667 0.000 x2
7 O 0.238 0.505 0.245 x4
8 O 0.242 0.825 0.243 x4
9 O 0.243 0.669 0.760 x4

The 10 most intense peaks (2θ from 10° to 80°), in order of rising 2θ:
Position (°2θ)  I_rel  h k l
18.05  100  0 0 1
19.73  21  0 2 0
20.64  38  1 1 0
23.24  28  1 1 -1
26.86  18  0 2 1
35.07  35  1 3 0
36.71  19  2 0 0
42.52  55  1 3 1
42.77  27  2 0 -2
61.84  24  1 3 -3

The following is a simulated XRD peak list of Li7PmO6. It was derived from a DFT-relaxed cell (GGA-PBE, OQMD), using Cu Kα.
No peak broadening, texture or thermal motion is included.

Cell: 5.6641 5.6641 15.8246 Å, 90.00 90.00 120.00°
Space group R3 (No. 146, hexagonal axes)
One atom of each set of equivalent atoms:
1 Li 0.0000 0.0000 0.0000 x3
2 Li 0.0474 0.7013 0.8628 x9
3 Li 0.0508 0.3810 0.1016 x9
4 Pm 0.0000 0.0000 0.6480 x3
5 O 0.0163 0.3674 0.2237 x9
6 O 0.0441 0.7004 0.7371 x9

The 10 most intense peaks (2θ from 10° to 80°), in order of rising 2θ:
Position (°2θ)  I_rel  h k l
16.81  28  0 0 3
18.94  100  1 0 1
21.31  81  0 1 2
29.00  32  1 0 4
33.70  24  0 1 5
35.99  59  1 1 3
37.09  17  0 2 1
47.08  33  1 1 6
49.50  16  2 1 1
56.26  16  3 0 0

The following is a simulated XRD peak list of LiPmSO. It was derived from a DFT-relaxed cell (GGA-PBE, OQMD), using Cu Kα.
No peak broadening, texture or thermal motion is included.

Cell: 4.412 4.118 6.762 Å, 90.00 90.00 90.00°
Space group Pmc2_1 (No. 26)
One atom of each set of equivalent atoms:
1 Li 0.000 0.242 0.000 x2
2 Pm 0.500 0.257 0.345 x2
3 S 0.000 0.259 0.658 x2
4 O 0.500 0.242 0.004 x2

The 10 most intense peaks (2θ from 10° to 80°), in order of rising 2θ:
Position (°2θ)  I_rel  h k l
20.13  51  1 0 0
25.32  56  0 1 1
26.36  22  0 0 2
32.56  100  1 1 1
33.39  53  1 0 2
40.91  21  2 0 0
45.90  29  0 1 3
48.76  30  1 2 0
56.32  23  1 2 2
63.15  22  2 1 3

The following is a simulated XRD peak list of LiPmSeO. It was derived from a DFT-relaxed cell (GGA-PBE, OQMD), using Cu Kα.
No peak broadening, texture or thermal motion is included.

Cell: 5.637 5.650 8.985 Å, 90.00 90.46 90.00°
Space group P2_1 (No. 4)
One atom of each set of equivalent atoms:
1 Li 0.248 0.000 0.000 x2
2 Li 0.251 0.500 0.000 x2
3 Pm 0.002 0.755 0.631 x2
4 Pm 0.498 0.756 0.369 x2
5 Se 0.000 0.250 0.825 x2
6 Se 0.500 0.251 0.175 x2
7 O 0.250 0.005 0.500 x2
8 O 0.250 0.506 0.500 x2

The 10 most intense peaks (2θ from 10° to 80°), in order of rising 2θ:
Position (°2θ)  I_rel  h k l
29.86  100  1 1 -2
30.04  98  1 1 2
31.71  79  2 0 0
37.46  17  1 1 -3
37.64  20  1 1 3
45.46  42  2 2 0
52.01  17  0 2 4
55.29  35  3 1 -2
55.40  18  1 3 2
55.60  17  3 1 2